Record 1
The following is a theoretical X-ray diffraction stick pattern of Pr3SmI8. It was derived from DFT lattice parameters and positions (GGA-PBE), using Cu Kα (weighted mean of Kα1 and Kα2).

Crystal structure
a b c (Å): 14.7036 8.5085 9.5988
angles (deg): 90.00 120.94 90.00
Space group C2/m (No. 12)
One atom of each set of equivalent atoms:
Pr: 0.0000 0.0000 0.0000 x2
Pr: 0.2500 0.2500 0.0000 x4
Sm: 0.0000 0.5000 0.0000 x2
I: 0.0014 0.2543 0.2483 x8
I: 0.2470 0.5000 0.2483 x4
I: 0.2486 0.5000 0.7474 x4

Most intense lines, 2θ from 15° to 90°, in order of rising 2θ:
d (Å), I/Imax
3.640, 28
3.527, 15
3.165, 100
3.153, 49
2.365, 67
2.125, 49
2.058, 23
1.763, 27
1.583, 13
1.480, 20



Record 2
The following is a theoretical X-ray diffraction stick pattern of Bi2AuF. It was derived from DFT lattice parameters and positions (GGA-PBE), using Cu Kα (weighted mean of Kα1 and Kα2).

Crystal structure
a b c (Å): 4.5665 4.5665 21.4756
angles (deg): 90.00 90.00 120.00
Space group R-3m (No. 166, hexagonal axes)
One atom of each set of equivalent atoms:
Bi: 0.0000 0.0000 0.1094 x6
Au: 0.0000 0.0000 0.5000 x3
F: 0.0000 0.0000 0.0000 x3

Most intense lines, 2θ from 15° to 90°, in order of rising 2θ:
d (Å), I/Imax
3.711, 50
2.909, 100
2.283, 63
2.221, 38
2.175, 38
1.887, 28
1.796, 26
1.412, 24
1.306, 14
1.227, 14



Record 3
The following is a theoretical X-ray diffraction stick pattern of Pr6Dy3Th2. It was derived from DFT lattice parameters and positions (GGA-PBE), using Cu Kα (weighted mean of Kα1 and Kα2).

Crystal structure
a b c (Å): 6.2608 10.8510 11.7794
angles (deg): 90.00 100.33 90.00
Space group C2/m (No. 12)
One atom of each set of equivalent atoms:
Pr: 0.2484 0.1664 0.2458 x8
Pr: 0.2490 0.5000 0.2461 x4
Dy: 0.0000 0.1657 0.5000 x4
Dy: 0.0000 0.5000 0.5000 x2
Th: 0.0000 0.3333 0.0000 x4

Most intense lines, 2θ from 15° to 90°, in order of rising 2θ:
d (Å), I/Imax
2.946, 100
2.897, 32
2.541, 67
1.808, 24
1.785, 23
1.541, 15
1.535, 10
1.533, 19
1.473, 13
1.173, 12